1.
For PmPuZn2O6, a cell relaxed with PBE gives the calculated powder diffractogram in this record (copper Kα).
Intensities are scaled so that the largest is 100.

Most intense lines, 2θ from 15° to 90°, sorted by position:
2θ = 21.5°, d 4.132, I = 48.6
2θ = 28.9°, d 3.084, I = 100.0
2θ = 32.2°, d 2.782, I = 67.2
2θ = 43.8°, d 2.066, I = 34.0
2θ = 47.1°, d 1.929, I = 21.6
2θ = 49.2°, d 1.853, I = 19.2
2θ = 55.4°, d 1.659, I = 36.1
2θ = 57.4°, d 1.606, I = 21.1

Crystal structure
a b c (Å): 6.243 6.243 6.243
angles (deg): 52.94 52.94 52.94
Sites, in units of the cell vectors:
Pm (0.000, 0.000, 0.000)
Pu (0.500, 0.500, 0.500)
Zn (0.230, 0.230, 0.230)
Zn (0.770, 0.770, 0.770)
O (0.107, 0.745, 0.418)
O (0.255, 0.582, 0.893)
O (0.418, 0.107, 0.745)
O (0.582, 0.893, 0.255)
O (0.745, 0.418, 0.107)
O (0.893, 0.255, 0.582)

---

2.
For Rb3PmO3, a cell relaxed with PBE gives the calculated powder diffractogram in this record (copper Kα).
Intensities are scaled so that the largest is 100.

Most intense lines, 2θ from 15° to 90°, sorted by position:
2θ = 27.1°, d 3.288, I = 100.0
2θ = 29.2°, d 3.057, I = 78.5
2θ = 30.2°, d 2.957, I = 45.3
2θ = 33.8°, d 2.651, I = 96.3
2θ = 45.9°, d 1.975, I = 70.0
2θ = 46.5°, d 1.953, I = 19.3
2θ = 55.3°, d 1.661, I = 30.7
2θ = 58.8°, d 1.569, I = 23.8

Crystal structure
a b c (Å): 7.962 7.962 7.962
angles (deg): 126.69 120.41 84.04
Sites, in units of the cell vectors:
Rb (0.000, 0.258, 0.258)
Rb (0.000, 0.742, 0.742)
Rb (0.471, 0.221, 0.250)
Rb (0.500, 0.258, 0.758)
Rb (0.500, 0.742, 0.242)
Rb (0.529, 0.779, 0.750)
Pm (0.037, 0.787, 0.250)
Pm (0.963, 0.213, 0.750)
O (0.195, 0.000, 0.695)
O (0.195, 0.500, 0.195)
O (0.225, 0.975, 0.250)
O (0.775, 0.025, 0.750)
O (0.805, 0.000, 0.305)
O (0.805, 0.500, 0.805)

---

3.
For Rb2PmRh2O7, a cell relaxed with PBE gives the calculated powder diffractogram in this record (copper Kα).
Intensities are scaled so that the largest is 100.

Most intense lines, 2θ from 15° to 90°, sorted by position:
2θ = 30.1°, d 2.966, I = 100.0
2θ = 31.4°, d 2.849, I = 55.6
2θ = 36.4°, d 2.471, I = 13.0
2θ = 41.2°, d 2.190, I = 9.8
2θ = 45.0°, d 2.015, I = 31.2
2θ = 52.7°, d 1.737, I = 19.6
2θ = 55.1°, d 1.666, I = 36.9
2θ = 62.7°, d 1.483, I = 11.1

Crystal structure
a b c (Å): 11.317 11.317 11.317
angles (deg): 159.49 159.49 29.16
Sites, in units of the cell vectors:
Rb (0.185, 0.185, 0.000)
Rb (0.815, 0.815, 0.000)
Pm (0.000, 0.000, 0.000)
Rh (0.409, 0.409, 0.000)
Rh (0.591, 0.591, 0.000)
O (0.074, 0.574, 0.500)
O (0.323, 0.323, 0.000)
O (0.426, 0.926, 0.500)
O (0.500, 0.500, 0.000)
O (0.574, 0.074, 0.500)
O (0.677, 0.677, 0.000)
O (0.926, 0.426, 0.500)

---

4.
For RbPmS2O8, a cell relaxed with PBE gives the calculated powder diffractogram in this record (copper Kα).
Intensities are scaled so that the largest is 100.

Most intense lines, 2θ from 15° to 90°, sorted by position:
2θ = 18.8°, d 4.731, I = 62.2
2θ = 21.5°, d 4.138, I = 50.4
2θ = 28.2°, d 3.169, I = 100.0
2θ = 32.8°, d 2.731, I = 44.5
2θ = 39.2°, d 2.301, I = 24.3
2θ = 43.8°, d 2.069, I = 35.2
2θ = 46.7°, d 1.946, I = 18.7
2θ = 55.7°, d 1.649, I = 25.3

Crystal structure
a b c (Å): 5.462 5.462 8.538
angles (deg): 90.00 90.00 120.00
Sites, in units of the cell vectors:
Rb (0.000, 0.000, 0.000)
Pm (0.000, 0.000, 0.500)
S (0.333, 0.667, 0.733)
S (0.667, 0.333, 0.267)
O (0.131, 0.378, 0.670)
O (0.247, 0.869, 0.670)
O (0.333, 0.667, 0.903)
O (0.378, 0.247, 0.330)
O (0.622, 0.753, 0.670)
O (0.667, 0.333, 0.097)
O (0.753, 0.131, 0.330)
O (0.869, 0.622, 0.330)

---

5.
For Rb2PmSi2O6, a cell relaxed with PBE gives the calculated powder diffractogram in this record (copper Kα).
Intensities are scaled so that the largest is 100.

Most intense lines, 2θ from 15° to 90°, sorted by position:
2θ = 17.7°, d 5.014, I = 37.9
2θ = 26.0°, d 3.428, I = 52.7
2θ = 29.7°, d 3.011, I = 99.3
2θ = 29.9°, d 2.984, I = 100.0
2θ = 39.8°, d 2.262, I = 43.5
2θ = 42.7°, d 2.120, I = 29.8
2θ = 52.8°, d 1.733, I = 32.4
2θ = 54.7°, d 1.678, I = 36.9

Crystal structure
a b c (Å): 6.991 6.991 6.991
angles (deg): 51.03 51.03 51.03
Sites, in units of the cell vectors:
Rb (0.217, 0.217, 0.217)
Rb (0.783, 0.783, 0.783)
Pm (0.000, 0.000, 0.000)
Si (0.428, 0.428, 0.428)
Si (0.572, 0.572, 0.572)
O (0.258, 0.258, 0.715)
O (0.258, 0.715, 0.258)
O (0.285, 0.742, 0.742)
O (0.715, 0.258, 0.258)
O (0.742, 0.285, 0.742)
O (0.742, 0.742, 0.285)

---

6.
For RbPmSiO4, a cell relaxed with PBE gives the calculated powder diffractogram in this record (copper Kα).
Intensities are scaled so that the largest is 100.

Most intense lines, 2θ from 15° to 90°, sorted by position:
2θ = 22.3°, d 3.984, I = 100.0
2θ = 24.1°, d 3.690, I = 25.5
2θ = 28.8°, d 3.105, I = 43.8
2θ = 29.5°, d 3.029, I = 47.6
2θ = 31.1°, d 2.872, I = 49.8
2θ = 36.4°, d 2.470, I = 35.4
2θ = 39.8°, d 2.266, I = 23.8
2θ = 45.5°, d 1.992, I = 27.6

Crystal structure
a b c (Å): 5.762 5.743 7.689
angles (deg): 90.00 106.28 90.00
Sites, in units of the cell vectors:
Rb (0.195, 0.250, 0.428)
Rb (0.805, 0.750, 0.572)
Pm (0.278, 0.250, 0.954)
Pm (0.722, 0.750, 0.046)
Si (0.260, 0.750, 0.162)
Si (0.740, 0.250, 0.838)
O (0.081, 0.750, 0.294)
O (0.082, 0.750, 0.951)
O (0.447, 0.525, 0.182)
O (0.447, 0.975, 0.182)
O (0.553, 0.025, 0.818)
O (0.553, 0.475, 0.818)
O (0.918, 0.250, 0.049)
O (0.919, 0.250, 0.706)